This entry pairs a crystal structure of K2Ba6Yb3Bi5O24 with its computed powder diffraction line list. Radiation: Cu Kα X-rays. Structure: a crystal structure in Alexandria, relaxed with GGA-PBE.
Lines closer than 0.1° are merged.

Main lines, by intensity (5 to 70 degrees two-theta):
(0 0 2), 29.10 deg, intensity 100
(4 0 0), 41.64 deg, intensity 34
(4 0 2), 51.54 deg, intensity 25
(4 8 0), 51.67 deg, intensity 25
(0 8 0), 29.17 deg, intensity 20
(2 0 0), 20.47 deg, intensity 17

Atomic structure:
Unit cell a=8.6743 b=24.4904 c=6.1501 alpha=90.00 beta=90.00 gamma=90.00
Space group Cmmm (No. 65)
One atom of each set of equivalent atoms:
K  0.2500  0.2500  0.0000 (multiplicity 4)
Ba  0.2484  0.0000  0.0000 (multiplicity 4)
Ba  0.2492  0.1258  0.5000 (multiplicity 8)
Yb  0.0000  0.1271  0.0000 (multiplicity 4)
Yb  0.0000  0.5000  0.5000 (multiplicity 2)
Bi  0.0000  0.0000  0.5000 (multiplicity 2)
Bi  0.0000  0.2492  0.5000 (multiplicity 4)
Bi  0.0000  0.3749  0.0000 (multiplicity 4)
O  0.0000  0.0611  0.2529 (multiplicity 8)
O  0.0000  0.1867  0.2669 (multiplicity 8)
O  0.0000  0.3162  0.2687 (multiplicity 8)
O  0.0000  0.4364  0.2437 (multiplicity 8)
O  0.2431  0.3774  0.0000 (multiplicity 8)
O  0.2449  0.0000  0.5000 (multiplicity 4)
O  0.2500  0.2500  0.5000 (multiplicity 4)



This entry pairs a crystal structure of BaLaBi2 with its computed powder diffraction line list. Radiation: Cu Kα X-rays. Structure: a crystal structure in Alexandria, relaxed with GGA-PBE.
Lines closer than 0.1° are merged.

Main lines, by intensity (5 to 70 degrees two-theta):
(2 0 0), 25.79 deg, intensity 100
(2 2 0), 36.79 deg, intensity 78
(4 2 0), 59.87 deg, intensity 36
(2 2 4), 45.48 deg, intensity 28
(4 2 4), 66.28 deg, intensity 26
(4 0 0), 53.02 deg, intensity 13

Atomic structure:
Unit cell a=6.9055 b=6.9059 c=13.8313 alpha=90.00 beta=90.00 gamma=90.00
Space group Pmna (No. 53)
One atom of each set of equivalent atoms:
Ba  0.0000  0.2488  0.1250 (multiplicity 4)
La  0.0000  0.2510  0.6250 (multiplicity 4)
Bi  0.0000  0.2489  0.3887 (multiplicity 4)
Bi  0.0000  0.2513  0.8614 (multiplicity 4)



This entry pairs a crystal structure of Ba3LaBi6 with its computed powder diffraction line list. Radiation: Cu Kα X-rays. Structure: a crystal structure in Alexandria, relaxed with GGA-PBE.
Lines closer than 0.1° are merged.

Main lines, by intensity (5 to 70 degrees two-theta):
(3 1 2), 29.43 deg, intensity 100
(1 3 1), 27.21 deg, intensity 66
(0 2 4), 29.53 deg, intensity 47
(4 1 3), 39.10 deg, intensity 30
(2 0 2), 19.37 deg, intensity 23
(1 0 4), 26.59 deg, intensity 21

Atomic structure:
Unit cell a=14.0349 b=14.0349 c=13.9504 alpha=90.00 beta=90.00 gamma=120.00
Space group R-3c (No. 167, hexagonal axes)
One atom of each set of equivalent atoms:
Ba  0.0000  0.4317  0.2500 (multiplicity 18)
La  0.0000  0.0000  0.0000 (multiplicity 6)
Bi  0.0726  0.2122  0.3443 (multiplicity 36)



This entry pairs a crystal structure of BaSrLaBiO6 with its computed powder diffraction line list. Radiation: Cu Kα X-rays. Structure: a crystal structure in Alexandria, relaxed with GGA-PBE.
Lines closer than 0.1° are merged.

Main lines, by intensity (5 to 70 degrees two-theta):
(1 1 2), 28.65 deg, intensity 100
(2 0 0), 29.02 deg, intensity 59
(3 1 2), 51.20 deg, intensity 48
(2 2 0), 41.50 deg, intensity 26
(2 0 4), 50.52 deg, intensity 26
(1 0 1), 17.50 deg, intensity 20

Atomic structure:
Unit cell a=6.1547 b=6.1547 c=8.9261 alpha=90.00 beta=90.00 gamma=90.00
Space group P-4n2 (No. 118)
One atom of each set of equivalent atoms:
Ba  0.0000  0.5000  0.2500 (multiplicity 2)
Sr  0.0000  0.0000  0.5000 (multiplicity 2)
La  0.0000  0.5000  0.7500 (multiplicity 2)
Bi  0.0000  0.0000  0.0000 (multiplicity 2)
O  0.0000  0.0000  0.2372 (multiplicity 4)
O  0.1464  0.3143  0.9735 (multiplicity 8)



This entry pairs a crystal structure of BaSrLaBiO6 with its computed powder diffraction line list. Radiation: Cu Kα X-rays. Structure: a crystal structure in Alexandria, relaxed with GGA-PBE.
Lines closer than 0.1° are merged.

Main lines, by intensity (5 to 70 degrees two-theta):
(1 1 2), 28.70 deg, intensity 100
(2 0 0), 28.97 deg, intensity 59
(1 3 2), 51.17 deg, intensity 48
(2 2 0), 41.43 deg, intensity 26
(2 0 4), 50.67 deg, intensity 26
(1 0 1), 17.51 deg, intensity 19

Atomic structure:
Unit cell a=6.1649 b=6.1649 c=8.8823 alpha=90.00 beta=90.00 gamma=90.00
Space group I-4 (No. 82)
One atom of each set of equivalent atoms:
Ba  0.0000  0.0000  0.0000 (multiplicity 2)
Sr  0.0000  0.5000  0.7500 (multiplicity 2)
La  0.0000  0.0000  0.5000 (multiplicity 2)
Bi  0.0000  0.5000  0.2500 (multiplicity 2)
O  0.0000  0.5000  0.0128 (multiplicity 4)
O  0.1474  0.8141  0.2790 (multiplicity 8)



This entry pairs a crystal structure of Ba3LiBi3 with its computed powder diffraction line list. Radiation: Cu Kα X-rays. Structure: a crystal structure in Alexandria, relaxed with GGA-PBE.
Lines closer than 0.1° are merged.

Main lines, by intensity (5 to 70 degrees two-theta):
(4 0 -2), 27.49 deg, intensity 100
(3 1 2), 31.11 deg, intensity 59
(1 1 2), 22.52 deg, intensity 44
(0 2 0), 35.65 deg, intensity 33
(0 0 6), 32.33 deg, intensity 30
(3 1 -4), 31.88 deg, intensity 26

Atomic structure:
Unit cell a=13.1759 b=5.0363 c=17.0419 alpha=90.00 beta=102.88 gamma=90.00
Space group C2/m (No. 12)
One atom of each set of equivalent atoms:
Ba  0.0397  0.0000  0.3954 (multiplicity 4)
Ba  0.0808  0.0000  0.9191 (multiplicity 4)
Ba  0.2454  0.0000  0.2304 (multiplicity 4)
Li  0.2452  0.5000  0.4226 (multiplicity 4)
Bi  0.0340  0.5000  0.2345 (multiplicity 4)
Bi  0.1436  0.5000  0.0864 (multiplicity 4)
Bi  0.1508  0.5000  0.5641 (multiplicity 4)



Question: Number 1 is which compound?
Answer: K2Ba6Yb3Bi5O24